Cs4Rb2As2Pb: simulated powder X-ray diffraction pattern (Cu Kα X-rays), based on a crystal structure in Alexandria, relaxed with PBE.
Intensities are scaled so that the largest is 100.

Main lines, in order of rising 2θ (5 to 70 degrees two-theta):
- 2θ 9.6, intensity 60.3
- 2θ 23.4, intensity 100.0
- 2θ 24.0, intensity 15.9
- 2θ 27.9, intensity 21.5
- 2θ 28.6, intensity 59.0
- 2θ 29.0, intensity 29.1
- 2θ 29.6, intensity 48.4
- 2θ 33.4, intensity 29.1
- 2θ 33.6, intensity 15.8
- 2θ 44.8, intensity 17.6
- 2θ 47.4, intensity 18.6
- 2θ 49.1, intensity 34.9

Crystal structure
Cell lengths 9.9783, 9.9783, 9.9783 Å; angles 148.80, 109.44, 79.15 degrees
Fractional coordinates of all 9 atoms:
Cs: 0.0596 0.8633 0.1963
Cs: 0.3330 0.1367 0.1963
Cs: 0.6670 0.8633 0.8037
Cs: 0.9404 0.1367 0.8037
Rb: 0.3532 0.3532 0.0000
Rb: 0.6468 0.6468 0.0000
As: 0.2038 0.7038 0.5000
As: 0.7962 0.2962 0.5000
Pb: 0.0000 0.5000 0.5000